Starting from a cell relaxed with GGA-PBE, the powder X-ray diffraction pattern of Ba2HfF2 was simulated for Cu Kα (weighted mean of Kα1 and Kα2).

Peak list (10 most intense, 2θ from 10° to 90°, in order of rising 2θ)
26.4 deg, I 100.0, (1 0 3)
30.5 deg, I 13.1, (0 0 6)
30.7 deg, I 28.8, (1 1 0)
43.8 deg, I 28.3, (1 1 6)
43.9 deg, I 15.3, (2 0 0)
51.7 deg, I 12.9, (1 0 9)
52.0 deg, I 31.2, (2 1 3)
54.4 deg, I 10.6, (2 0 6)
70.1 deg, I 10.4, (2 1 9)
80.6 deg, I 9.3, (3 1 6)

Structural model:
Cell lengths 4.123, 4.123, 17.609 Å; angles 90.00, 90.00, 90.00 degrees
Space group I4/mmm (No. 139)
Unique sites:
Ba 0.000 0.000 0.156 x4
Hf 0.000 0.000 0.500 x2
F 0.000 0.500 0.250 x4